1.
Dy3Al: theoretical powder XRD pattern (a wavelength of 1.5418 Å), based on DFT lattice parameters and positions (GGA-PBE).
Peak positions follow from Bragg's law for the DFT cell and can differ from measured ones.

Largest 10 diffraction maxima, in order of rising 2θ, 2θ from 10° to 90°:
d/Å	Rel. int.
4.752	199
3.360	174
2.744	1000
2.376	502
2.125	100
1.940	76
1.680	349
1.433	412
1.372	119
1.188	56

Cell and atoms:
Cell: 4.752 4.752 4.752 Å, 90.00 90.00 90.00°
Fractional coordinates of all 4 atoms:
Dy 0.000 0.000 0.500
Dy 0.000 0.500 0.000
Dy 0.500 0.000 0.000
Al 0.500 0.500 0.500


2.
CuRe3Sn5: theoretical powder XRD pattern (a wavelength of 1.5418 Å), based on DFT lattice parameters and positions (GGA-PBE).
Peak positions follow from Bragg's law for the DFT cell and can differ from measured ones.

Largest 10 diffraction maxima, in order of rising 2θ, 2θ from 10° to 90°:
d/Å	Rel. int.
8.182	1000
4.664	248
2.727	408
2.693	279
2.243	642
2.026	878
1.538	202
1.346	209
1.339	197
1.207	211

Cell and atoms:
Cell: 5.385 5.385 8.182 Å, 90.00 90.00 120.00°
Fractional coordinates of all 9 atoms:
Cu 0.000 0.000 0.000
Re 0.000 0.500 0.500
Re 0.500 0.000 0.500
Re 0.500 0.500 0.500
Sn 0.000 0.000 0.500
Sn 0.333 0.667 0.196
Sn 0.333 0.667 0.804
Sn 0.667 0.333 0.196
Sn 0.667 0.333 0.804


3.
Ho2ErCu4Sn2Ge2: theoretical powder XRD pattern (a wavelength of 1.5418 Å), based on DFT lattice parameters and positions (GGA-PBE).
Peak positions follow from Bragg's law for the DFT cell and can differ from measured ones.

Largest 10 diffraction maxima, in order of rising 2θ, 2θ from 10° to 90°:
d/Å	Rel. int.
3.352	145
2.650	330
2.611	800
2.565	1000
2.176	358
2.026	167
1.682	171
1.372	187
1.319	126
1.207	146

Cell and atoms:
Cell: 8.245 8.245 8.245 Å, 149.40 132.03 57.98°
Fractional coordinates of all 11 atoms:
Ho 0.124 0.124 0.000
Ho 0.876 0.876 0.000
Er 0.500 0.000 0.500
Cu 0.146 0.338 0.808
Cu 0.470 0.662 0.808
Cu 0.530 0.338 0.192
Cu 0.854 0.662 0.192
Sn 0.283 0.783 0.500
Sn 0.717 0.217 0.500
Ge 0.193 0.500 0.693
Ge 0.807 0.500 0.307